Structure and computed X-ray powder pattern of Na2Sn4I9 (a crystal structure in Alexandria, relaxed with GGA-PBE; Cu Kα (λ = 1.5418 Å)).
Kinematic intensities with the Lorentz-polarization factor, no thermal factor.

Principal peaks in the range 10 to 90 degrees two-theta, most intense first:
24.97°, intensity 100, hkl 1 1 3
24.21°, intensity 96, hkl 1 -2 3
33.13°, intensity 88, hkl -1 2 6
25.47°, intensity 79, hkl -2 1 3
25.59°, intensity 77, hkl 2 -1 3
24.03°, intensity 65, hkl 1 1 -3
36.69°, intensity 50, hkl 0 3 0
38.59°, intensity 49, hkl 3 0 0
31.91°, intensity 49, hkl 1 -2 6
15.18°, intensity 48, hkl 1 0 2
38.84°, intensity 47, hkl 3 -3 0
31.72°, intensity 47, hkl 1 1 -6

a b c (Å): 7.928 8.333 22.078
angles (deg): 92.21 90.32 117.97
Space group P-1 (No. 2)
Symmetry-distinct sites (fractional):
Na1 0.021 0.043 0.160 x2
Na2 0.030 0.048 0.340 x2
Sn1 0.325 0.593 0.653 x2
Sn2 0.335 0.665 0.995 x2
Sn3 0.360 0.717 0.188 x2
Sn4 0.366 0.692 0.509 x2
I1 0.008 0.644 0.581 x2
I2 0.031 0.742 0.247 x2
I3 0.043 0.389 0.083 x2
I4 0.265 0.255 0.581 x2
I5 0.305 0.954 0.752 x2
I6 0.324 0.373 0.257 x2
I7 0.339 0.323 0.920 x2
I8 0.343 0.985 0.082 x2
I9 0.368 0.980 0.417 x2